# 1
# KRb5As2
Calculated powder diffractogram, Cu Kα. Input: a cell relaxed with PBE.
Neutral-atom scattering factors, no anomalous dispersion.

Top 12 peaks for 10° ≤ 2θ ≤ 90°, low angle first:
- 2θ 22.5, rel. 52.5
- 2θ 24.8, rel. 20.8
- 2θ 26.9, rel. 95.6
- 2θ 27.1, rel. 41.5
- 2θ 28.1, rel. 40.1
- 2θ 28.2, rel. 44.4
- 2θ 28.3, rel. 35.2
- 2θ 30.0, rel. 100.0
- 2θ 32.5, rel. 35.7
- 2θ 33.7, rel. 24.2
- 2θ 41.7, rel. 24.0
- 2θ 51.4, rel. 23.0

Crystal structure
a b c (Å): 6.7382 6.7382 21.7921
angles (deg): 100.96 100.96 52.52
Sites, in units of the cell vectors:
K (0.2334, 0.2334, 0.2689)
K (0.7666, 0.7666, 0.7311)
Rb (0.0821, 0.0821, 0.7748)
Rb (0.1537, 0.1537, 0.9607)
Rb (0.1861, 0.1861, 0.5554)
Rb (0.4192, 0.4192, 0.8761)
Rb (0.4942, 0.4942, 0.3949)
Rb (0.5058, 0.5058, 0.6051)
Rb (0.5808, 0.5808, 0.1239)
Rb (0.8139, 0.8139, 0.4446)
Rb (0.8463, 0.8463, 0.0393)
Rb (0.9179, 0.9179, 0.2252)
As (0.1205, 0.1205, 0.3875)
As (0.2730, 0.2730, 0.1249)
As (0.7270, 0.7270, 0.8751)
As (0.8795, 0.8795, 0.6125)

# 2
# Pa12Tc6Ru
Calculated powder diffractogram, Cu Kα. Input: a cell relaxed with PBE.
Neutral-atom scattering factors, no anomalous dispersion.

Top 12 peaks for 10° ≤ 2θ ≤ 90°, low angle first:
- 2θ 23.3, rel. 26.0
- 2θ 24.5, rel. 29.8
- 2θ 27.9, rel. 84.8
- 2θ 30.6, rel. 23.8
- 2θ 31.9, rel. 69.9
- 2θ 35.5, rel. 100.0
- 2θ 38.8, rel. 55.1
- 2θ 40.9, rel. 57.2
- 2θ 41.9, rel. 24.7
- 2θ 52.8, rel. 18.8
- 2θ 56.8, rel. 42.5
- 2θ 57.6, rel. 31.1

Crystal structure
a b c (Å): 7.7884 7.7884 7.7884
angles (deg): 97.13 97.13 97.13
Sites, in units of the cell vectors:
Pa (0.0137, 0.6563, 0.9301)
Pa (0.0699, 0.9863, 0.3437)
Pa (0.1884, 0.4024, 0.5507)
Pa (0.3437, 0.0699, 0.9863)
Pa (0.4024, 0.5507, 0.1884)
Pa (0.4493, 0.8116, 0.5976)
Pa (0.5507, 0.1884, 0.4024)
Pa (0.5976, 0.4493, 0.8116)
Pa (0.6563, 0.9301, 0.0137)
Pa (0.8116, 0.5976, 0.4493)
Pa (0.9301, 0.0137, 0.6563)
Pa (0.9863, 0.3437, 0.0699)
Tc (0.1320, 0.6452, 0.3384)
Tc (0.3384, 0.1320, 0.6452)
Tc (0.3548, 0.6616, 0.8680)
Tc (0.6452, 0.3384, 0.1320)
Tc (0.6616, 0.8680, 0.3548)
Tc (0.8680, 0.3548, 0.6616)
Ru (0.0000, 0.0000, 0.0000)